The following is a simulated powder diffractogram of Li4MnCo2O7. It was derived from DFT lattice parameters and positions (GGA+U), using CuKα.
Neutral-atom scattering factors, no anomalous dispersion.

Main lines, in order of falling intensity (2θ = 5–70°):
| 2theta | d_spacing | I_rel |
| --- | --- | --- |
| 18.28 | 4.853 | 100.0 |
| 43.76 | 2.069 | 54.7 |
| 43.15 | 2.096 | 29.1 |
| 62.98 | 1.476 | 14.8 |
| 35.69 | 2.516 | 13.9 |
| 36.10 | 2.488 | 13.1 |
| 36.27 | 2.477 | 12.8 |
| 57.55 | 1.601 | 9.3 |

Crystal structure
```
Li4MnCo2O7
1.0
5.131 0.000 0.000
2.455 7.266 0.000
0.843 3.727 6.739
Li Mn Co O
8 2 4 14
Direct
0.000 0.000 0.000
0.001 0.717 0.853
0.007 0.853 0.435
0.008 0.430 0.703
0.500 0.500 0.500
0.992 0.570 0.297
0.993 0.147 0.565
0.999 0.283 0.147
0.494 0.359 0.925
0.506 0.641 0.075
0.492 0.220 0.367
0.495 0.924 0.222
0.505 0.076 0.778
0.508 0.780 0.633
0.258 0.308 0.532
0.262 0.026 0.398
0.270 0.186 0.963
0.273 0.592 0.698
0.276 0.757 0.232
0.280 0.467 0.099
0.290 0.882 0.830
0.710 0.118 0.170
0.720 0.533 0.901
0.724 0.243 0.768
0.727 0.408 0.302
0.730 0.814 0.037
0.738 0.974 0.602
0.742 0.692 0.468
```


The following is a simulated powder diffractogram of Li4Mn3CoO8. It was derived from DFT lattice parameters and positions (GGA+U), using CuKα.
Neutral-atom scattering factors, no anomalous dispersion.

Main lines, in order of falling intensity (2θ = 5–70°):
| 2theta | d_spacing | I_rel |
| --- | --- | --- |
| 18.20 | 4.874 | 100.0 |
| 43.91 | 2.062 | 50.5 |
| 40.61 | 2.221 | 32.4 |
| 35.96 | 2.498 | 25.6 |
| 33.79 | 2.653 | 19.2 |
| 61.14 | 1.516 | 15.9 |
| 61.55 | 1.507 | 15.2 |
| 46.57 | 1.950 | 11.0 |

Crystal structure
```
Li4Mn3CoO8
1.0
5.302 -2.900 0.000
5.302 2.900 0.000
-2.102 0.000 4.914
Li Mn Co O
4 3 1 8
Direct
0.000 0.500 0.500
0.248 0.248 0.014
0.500 0.000 0.500
0.752 0.752 0.986
0.000 0.000 0.500
0.249 0.751 0.000
0.751 0.249 0.000
0.500 0.500 0.500
0.116 0.116 0.224
0.124 0.638 0.269
0.362 0.876 0.731
0.396 0.396 0.752
0.604 0.604 0.248
0.638 0.124 0.269
0.876 0.362 0.731
0.884 0.884 0.776
```


The following is a simulated powder diffractogram of Li3MnCoO5. It was derived from DFT lattice parameters and positions (GGA+U), using CuKα.
Neutral-atom scattering factors, no anomalous dispersion.

Main lines, in order of falling intensity (2θ = 5–70°):
| 2theta | d_spacing | I_rel |
| --- | --- | --- |
| 18.39 | 4.825 | 100.0 |
| 42.04 | 2.149 | 33.8 |
| 44.17 | 2.050 | 28.4 |
| 44.33 | 2.043 | 28.4 |
| 34.97 | 2.566 | 18.4 |
| 36.22 | 2.480 | 12.9 |
| 36.46 | 2.464 | 11.8 |
| 11.18 | 7.915 | 11.2 |

Crystal structure
```
Li3MnCoO5
1.0
2.953 0.000 0.000
-1.085 7.705 0.000
-0.061 -2.149 7.915
Li Mn Co O
6 2 2 10
Direct
0.000 0.000 0.000
0.014 0.012 0.512
0.178 0.388 0.603
0.387 0.802 0.218
0.584 0.194 0.789
0.813 0.607 0.413
0.588 0.195 0.313
0.788 0.603 0.901
0.181 0.396 0.100
0.409 0.809 0.694
0.021 0.022 0.260
0.025 0.984 0.751
0.150 0.406 0.861
0.158 0.374 0.344
0.391 0.794 0.477
0.422 0.796 0.935
0.587 0.214 0.071
0.596 0.202 0.538
0.776 0.614 0.665
0.789 0.593 0.145
```


The following is a simulated powder diffractogram of Li7Mn4CoO12. It was derived from DFT lattice parameters and positions (GGA+U), using CuKα.
Neutral-atom scattering factors, no anomalous dispersion.

Main lines, in order of falling intensity (2θ = 5–70°):
| 2theta | d_spacing | I_rel |
| --- | --- | --- |
| 18.24 | 4.865 | 100.0 |
| 43.92 | 2.061 | 57.0 |
| 41.24 | 2.189 | 29.6 |
| 36.07 | 2.490 | 25.0 |
| 6.02 | 14.683 | 20.8 |
| 61.98 | 1.497 | 14.6 |
| 34.21 | 2.621 | 14.1 |
| 61.66 | 1.504 | 13.7 |

Crystal structure
```
Li7Mn4CoO12
1.0
5.257 0.000 0.000
0.000 2.893 0.000
-0.756 0.000 14.683
Li Mn Co O
7 4 1 12
Direct
0.000 0.000 0.000
0.005 0.000 0.503
0.175 0.500 0.830
0.331 0.000 0.658
0.504 0.500 0.493
0.640 0.000 0.349
0.840 0.500 0.178
0.322 0.000 0.173
0.490 0.500 0.002
0.684 0.000 0.833
0.859 0.500 0.662
0.127 0.500 0.352
0.002 0.000 0.742
0.046 0.000 0.249
0.135 0.500 0.593
0.166 0.500 0.097
0.323 0.000 0.415
0.341 0.000 0.926
0.488 0.500 0.238
0.545 0.500 0.756
0.622 0.000 0.082
0.687 0.000 0.597
0.827 0.500 0.913
0.837 0.500 0.410
```


The following is a simulated powder diffractogram of Li5Mn2CoO8. It was derived from DFT lattice parameters and positions (GGA+U), using CuKα.
Neutral-atom scattering factors, no anomalous dispersion.

Main lines, in order of falling intensity (2θ = 5–70°):
| 2theta | d_spacing | I_rel |
| --- | --- | --- |
| 18.56 | 4.781 | 100.0 |
| 43.99 | 2.058 | 62.8 |
| 42.36 | 2.134 | 33.0 |
| 36.09 | 2.488 | 24.1 |
| 9.25 | 9.562 | 24.0 |
| 17.18 | 5.163 | 17.7 |
| 63.26 | 1.470 | 17.3 |
| 62.18 | 1.493 | 16.8 |

Crystal structure
```
Li5Mn2CoO8
1.0
5.230 0.000 0.000
0.000 2.893 0.000
-1.545 0.000 9.562
Li Mn Co O
5 2 1 8
Direct
0.000 0.000 0.000
0.240 0.500 0.239
0.261 0.000 0.763
0.739 0.000 0.237
0.760 0.500 0.761
0.000 0.500 0.500
0.500 0.000 0.500
0.500 0.500 0.000
0.098 0.000 0.380
0.183 0.500 0.895
0.390 0.000 0.110
0.399 0.500 0.617
0.601 0.500 0.383
0.610 0.000 0.890
0.817 0.500 0.105
0.902 0.000 0.620
```


The following is a simulated powder diffractogram of Li6Mn3CoO10. It was derived from DFT lattice parameters and positions (GGA+U), using CuKα.
Neutral-atom scattering factors, no anomalous dispersion.

Main lines, in order of falling intensity (2θ = 5–70°):
| 2theta | d_spacing | I_rel |
| --- | --- | --- |
| 18.45 | 4.808 | 100.0 |
| 44.20 | 2.049 | 57.7 |
| 42.43 | 2.130 | 31.0 |
| 36.38 | 2.470 | 24.9 |
| 63.09 | 1.474 | 15.4 |
| 62.79 | 1.480 | 15.3 |
| 35.04 | 2.561 | 15.0 |
| 12.11 | 7.309 | 13.3 |

Crystal structure
```
Li6Mn3CoO10
1.0
7.626 -1.436 0.000
7.626 1.436 0.000
-2.429 0.000 8.167
Li Mn Co O
6 3 1 10
Direct
0.000 0.000 0.000
0.001 0.001 0.501
0.194 0.194 0.093
0.403 0.403 0.721
0.598 0.598 0.273
0.808 0.808 0.910
0.202 0.202 0.602
0.403 0.403 0.188
0.598 0.598 0.815
0.801 0.801 0.391
0.009 0.009 0.751
0.188 0.188 0.851
0.211 0.211 0.348
0.390 0.390 0.427
0.401 0.401 0.972
0.600 0.600 0.030
0.610 0.610 0.571
0.794 0.794 0.647
0.813 0.813 0.153
0.993 0.993 0.251
```


The following is a simulated powder diffractogram of Li7Mn2Co3O12. It was derived from DFT lattice parameters and positions (GGA+U), using CuKα.
Neutral-atom scattering factors, no anomalous dispersion.

Main lines, in order of falling intensity (2θ = 5–70°):
| 2theta | d_spacing | I_rel |
| --- | --- | --- |
| 18.38 | 4.826 | 100.0 |
| 44.42 | 2.039 | 54.7 |
| 42.13 | 2.145 | 32.7 |
| 36.57 | 2.457 | 23.8 |
| 35.00 | 2.563 | 18.6 |
| 62.79 | 1.480 | 16.2 |
| 62.97 | 1.476 | 15.8 |
| 9.16 | 9.652 | 14.8 |

Crystal structure
```
Li7Mn2Co3O12
1.0
5.006 0.000 0.000
2.333 4.432 0.000
0.564 1.800 9.652
Li Mn Co O
7 2 3 12
Direct
0.000 0.000 0.000
0.001 0.249 0.247
0.002 0.754 0.753
0.328 0.584 0.244
0.331 0.087 0.753
0.669 0.408 0.757
0.673 0.924 0.247
0.334 0.834 0.499
0.667 0.673 0.000
0.000 0.501 0.500
0.328 0.337 0.000
0.668 0.167 0.501
0.004 0.603 0.113
0.017 0.854 0.383
0.312 0.480 0.613
0.355 0.189 0.386
0.358 0.686 0.885
0.369 0.950 0.111
0.643 0.040 0.887
0.645 0.320 0.113
0.652 0.817 0.614
0.692 0.514 0.387
0.978 0.152 0.616
0.992 0.404 0.890
```


The following is a simulated powder diffractogram of Li4MnCo2O7. It was derived from DFT lattice parameters and positions (GGA+U), using CuKα.
Neutral-atom scattering factors, no anomalous dispersion.

Main lines, in order of falling intensity (2θ = 5–70°):
| 2theta | d_spacing | I_rel |
| --- | --- | --- |
| 18.51 | 4.794 | 100.0 |
| 44.74 | 2.026 | 52.3 |
| 42.09 | 2.147 | 31.6 |
| 36.80 | 2.442 | 24.0 |
| 34.92 | 2.569 | 17.2 |
| 63.02 | 1.475 | 15.5 |
| 63.17 | 1.472 | 15.2 |
| 10.35 | 8.547 | 11.7 |

Crystal structure
```
Li4MnCo2O7
1.0
5.186 0.000 0.000
-1.941 5.567 0.000
-0.655 -0.520 8.547
Li Mn Co O
8 2 4 14
Direct
0.000 0.000 0.000
0.000 0.500 0.000
0.141 0.284 0.285
0.285 0.572 0.571
0.423 0.853 0.859
0.577 0.147 0.141
0.715 0.428 0.429
0.859 0.716 0.715
0.428 0.356 0.856
0.572 0.644 0.144
0.143 0.785 0.286
0.285 0.070 0.571
0.715 0.930 0.429
0.857 0.215 0.714
0.021 0.768 0.494
0.151 0.501 0.787
0.162 0.045 0.781
0.302 0.804 0.091
0.314 0.334 0.066
0.407 0.089 0.365
0.450 0.621 0.353
0.550 0.379 0.647
0.593 0.911 0.635
0.686 0.666 0.934
0.698 0.196 0.909
0.838 0.955 0.219
0.849 0.499 0.213
0.979 0.232 0.506
```


Repeat the seventh record exactly.
The following is a simulated powder diffractogram of Li7Mn2Co3O12. It was derived from DFT lattice parameters and positions (GGA+U), using CuKα.
Neutral-atom scattering factors, no anomalous dispersion.

Main lines, in order of falling intensity (2θ = 5–70°):
| 2theta | d_spacing | I_rel |
| --- | --- | --- |
| 18.38 | 4.826 | 100.0 |
| 44.42 | 2.039 | 54.7 |
| 42.13 | 2.145 | 32.7 |
| 36.57 | 2.457 | 23.8 |
| 35.00 | 2.563 | 18.6 |
| 62.79 | 1.480 | 16.2 |
| 62.97 | 1.476 | 15.8 |
| 9.16 | 9.652 | 14.8 |

Crystal structure
```
Li7Mn2Co3O12
1.0
5.006 0.000 0.000
2.333 4.432 0.000
0.564 1.800 9.652
Li Mn Co O
7 2 3 12
Direct
0.000 0.000 0.000
0.001 0.249 0.247
0.002 0.754 0.753
0.328 0.584 0.244
0.331 0.087 0.753
0.669 0.408 0.757
0.673 0.924 0.247
0.334 0.834 0.499
0.667 0.673 0.000
0.000 0.501 0.500
0.328 0.337 0.000
0.668 0.167 0.501
0.004 0.603 0.113
0.017 0.854 0.383
0.312 0.480 0.613
0.355 0.189 0.386
0.358 0.686 0.885
0.369 0.950 0.111
0.643 0.040 0.887
0.645 0.320 0.113
0.652 0.817 0.614
0.692 0.514 0.387
0.978 0.152 0.616
0.992 0.404 0.890
```